1.
# Sc11Cd9Ir4
Theoretical powder X-ray diffraction pattern, Cu Kα X-rays. Input: a GGA-PBE-relaxed structure.

Atomic structure:
```
data_Sc11Cd9Ir4
_chemical_formula_sum 'Sc22 Cd18 Ir8'
_cell_length_a 13.9403
_cell_length_b 20.8419
_cell_length_c 3.4267
_cell_angle_alpha 90.00
_cell_angle_beta 90.00
_cell_angle_gamma 90.00
_symmetry_space_group_name_H-M 'C m m m'
_symmetry_Int_Tables_number 65
_symmetry_space_group_name_Hall '-C 2 2'
loop_
_atom_site_label
_atom_site_type_symbol
_atom_site_fract_x
_atom_site_fract_y
_atom_site_fract_z
Sc1 Sc 0.0000 0.0000 0.0000
Sc2 Sc 0.0000 0.1599 0.0000
Sc3 Sc 0.0000 0.3625 0.0000
Sc4 Sc 0.2013 0.5000 0.0000
Sc5 Sc 0.2472 0.3340 0.0000
Cd1 Cd 0.0000 0.5000 0.5000
Cd2 Cd 0.1104 0.2547 0.5000
Cd3 Cd 0.1390 0.0743 0.5000
Ir1 Ir 0.1441 0.4018 0.5000
```

Peak list (12 most intense, 2θ = 15–90°, in order of rising 2θ)
| 2θ (°) | I/Imax | h k l |
| --- | --- | --- |
| 25.60 | 35 | 4 0 0 |
| 26.00 | 30 | 0 0 1 |
| 33.85 | 7 | 2 4 1 |
| 35.01 | 8 | 3 3 1 |
| 36.52 | 53 | 4 6 0 |
| 36.81 | 100 | 0 6 1 |
| 39.16 | 14 | 3 5 1 |
| 45.38 | 21 | 4 6 1 |
| 53.48 | 12 | 0 0 2 |
| 60.21 | 7 | 4 0 2 |
| 65.87 | 7 | 8 6 1 |
| 66.50 | 17 | 4 6 2 |

---

2.
# Sc3Si4Ni11
Theoretical powder X-ray diffraction pattern, Cu Kα X-rays. Input: a GGA-PBE-relaxed structure.

Atomic structure:
```
data_Sc3Si4Ni11
_chemical_formula_sum 'Sc6 Si8 Ni22'
_cell_length_a 7.9477
_cell_length_b 7.9477
_cell_length_c 8.3397
_cell_angle_alpha 90.00
_cell_angle_beta 90.00
_cell_angle_gamma 120.00
_symmetry_space_group_name_H-M 'P 63/m m c'
_symmetry_Int_Tables_number 194
_symmetry_space_group_name_Hall '-P 6c 2c'
loop_
_atom_site_label
_atom_site_type_symbol
_atom_site_fract_x
_atom_site_fract_y
_atom_site_fract_z
Sc1 Sc 0.1975 0.3950 0.2500
Si1 Si 0.0000 0.0000 0.2500
Si2 Si 0.0000 0.5000 0.0000
Ni1 Ni 0.1221 0.5610 0.7500
Ni2 Ni 0.1526 0.3053 0.5929
Ni3 Ni 0.3333 0.6667 0.0030
```

Peak list (12 most intense, 2θ = 15–90°, in order of rising 2θ)
| 2θ (°) | I/Imax | h k l |
| --- | --- | --- |
| 16.70 | 36 | 1 0 1 |
| 33.77 | 13 | 2 0 2 |
| 40.82 | 84 | 3 0 1 |
| 41.77 | 100 | 2 0 3 |
| 45.45 | 18 | 1 0 4 |
| 45.66 | 80 | 2 2 0 |
| 47.89 | 40 | 2 1 3 |
| 50.91 | 19 | 2 2 2 |
| 51.23 | 12 | 2 0 4 |
| 52.74 | 18 | 3 1 2 |
| 75.53 | 17 | 3 2 4 |
| 81.74 | 17 | 4 2 3 |

---

3.
# Y2NpS3
Theoretical powder X-ray diffraction pattern, Cu Kα X-rays. Input: a GGA-PBE-relaxed structure.

Atomic structure:
```
data_Y2NpS3
_chemical_formula_sum 'Y4 Np2 S6'
_cell_length_a 3.9092
_cell_length_b 3.9092
_cell_length_c 16.6774
_cell_angle_alpha 90.00
_cell_angle_beta 90.00
_cell_angle_gamma 90.00
_symmetry_space_group_name_H-M 'I 4/m m m'
_symmetry_Int_Tables_number 139
_symmetry_space_group_name_Hall '-I 4 2'
loop_
_atom_site_label
_atom_site_type_symbol
_atom_site_fract_x
_atom_site_fract_y
_atom_site_fract_z
Y1 Y 0.0000 0.0000 0.1644
Np1 Np 0.0000 0.0000 0.5000
S1 S 0.0000 0.0000 0.0000
S2 S 0.0000 0.0000 0.3311
```

Peak list (12 most intense, 2θ = 15–90°, in order of rising 2θ)
| 2θ (°) | I/Imax | h k l |
| --- | --- | --- |
| 23.37 | 29 | 1 0 1 |
| 27.90 | 100 | 1 0 3 |
| 32.20 | 47 | 0 0 6 |
| 32.39 | 93 | 1 1 0 |
| 46.32 | 67 | 1 1 6 |
| 46.46 | 33 | 2 0 0 |
| 54.83 | 16 | 1 0 9 |
| 55.07 | 33 | 2 1 3 |
| 57.65 | 35 | 2 0 6 |
| 76.76 | 15 | 1 1 12 |
| 77.16 | 15 | 3 1 0 |
| 86.08 | 23 | 3 1 6 |